Entry 1:
Structure and simulated powder diffractogram of La6Tb3Sc (a structure optimized by DFT (PBE); CuKα).
Peak positions follow from Bragg's law for the DFT cell and can differ from measured ones.

```
data_La6Tb3Sc
_chemical_formula_sum 'La18 Tb9 Sc3'
_cell_length_a 9.9912
_cell_length_b 9.9912
_cell_length_c 12.1252
_cell_angle_alpha 90.00
_cell_angle_beta 90.00
_cell_angle_gamma 120.00
_space_group_name_H-M_alt 'R 3'
_space_group_IT_number 146
_space_group_name_Hall 'R 3'
loop_
_atom_site_label
_atom_site_fract_x
_atom_site_fract_y
_atom_site_fract_z
La1 0.0007 0.3389 0.0000
La2 0.0050 0.6706 0.5005
Tb1 0.0000 0.0000 0.0839
Tb2 0.0000 0.0000 0.3385
Tb3 0.0000 0.0000 0.8297
Sc1 0.0000 0.0000 0.5839
```

Main lines, most intense first (2θ = 15–90°):
two_theta, I/Imax
31.01, 100
28.40, 73
53.57, 25
42.55, 24
55.16, 19
55.52, 18

***

Entry 2:
Structure and simulated powder diffractogram of Pr2Se2F (a structure optimized by DFT (PBE); CuKα).
Peak positions follow from Bragg's law for the DFT cell and can differ from measured ones.

```
data_Pr2Se2F
_chemical_formula_sum 'Pr8 Se8 F4'
_cell_length_a 4.061
_cell_length_b 18.193
_cell_length_c 6.603
_cell_angle_alpha 90.00
_cell_angle_beta 90.00
_cell_angle_gamma 90.00
_space_group_name_H-M_alt 'C m c 21'
_space_group_IT_number 36
loop_
_space_group_symop_operation_xyz
'x,y,z'
'-x,-y,z+1/2'
'-x,y,z'
'x,-y,z+1/2'
'x+1/2,y+1/2,z'
'-x+1/2,-y+1/2,z+1/2'
'-x+1/2,y+1/2,z'
'x+1/2,-y+1/2,z+1/2'
loop_
_atom_site_label
_atom_site_fract_x
_atom_site_fract_y
_atom_site_fract_z
Pr1 0.000 0.074 0.000
Pr2 0.000 0.321 0.011
Se1 0.000 0.300 0.509
Se2 0.000 0.468 0.815
F1 0.000 0.123 0.655
```

Main lines, most intense first (2θ = 15–90°):
two_theta, I/Imax
33.05, 100
38.13, 89
23.75, 65
29.73, 64
27.01, 63
43.19, 51

***

Entry 3:
Structure and simulated powder diffractogram of Er2GaS (a structure optimized by DFT (PBE); CuKα).
Peak positions follow from Bragg's law for the DFT cell and can differ from measured ones.

```
data_Er2GaS
_chemical_formula_sum 'Er8 Ga4 S4'
_cell_length_a 4.111
_cell_length_b 21.669
_cell_length_c 3.920
_cell_angle_alpha 90.00
_cell_angle_beta 90.00
_cell_angle_gamma 90.00
_space_group_name_H-M_alt 'C m c m'
_space_group_IT_number 63
_space_group_name_Hall '-C 2c 2'
loop_
_atom_site_label
_atom_site_fract_x
_atom_site_fract_y
_atom_site_fract_z
Er1 0.000 0.069 0.250
Er2 0.000 0.317 0.250
Ga1 0.000 0.459 0.250
S1 0.000 0.193 0.250
```

Main lines, most intense first (2θ = 15–90°):
two_theta, I/Imax
31.81, 100
28.10, 50
43.26, 46
33.07, 45
29.96, 39
44.06, 27